(1)
For O, a crystal structure in the Materials Project, relaxed with PBE gives the computed powder XRD pattern in this record (CuKα).
Neutral-atom scattering factors, no anomalous dispersion.

Atomic structure:
```
data_O
_space_group_name_H-M_alt 'P 41 21 2'
_space_group_IT_number 92
_space_group_name_Hall 'P 4abw 2nw'
_cell_length_a 4.706
_cell_length_b 4.706
_cell_length_c 4.989
_cell_angle_alpha 90.00
_cell_angle_beta 90.00
_cell_angle_gamma 90.00
loop_
_atom_site_label
_atom_site_fract_x
_atom_site_fract_y
_atom_site_fract_z
_atom_site_occupancy
O1 0.031 0.031 0.000 1
O2 0.096 0.765 0.007 1
```

Most intense lines, 10 to 80 degrees two-theta, low angle first:
| 2theta | I (rel.) | h k l |
| --- | --- | --- |
| 26.79 | 68 | 1 1 0 |
| 32.34 | 24 | 1 1 1 |
| 40.95 | 100 | 1 0 2 |
| 42.48 | 14 | 2 0 1 |
| 42.98 | 22 | 2 1 0 |
| 45.44 | 22 | 1 1 2 |
| 46.85 | 11 | 2 1 1 |
| 62.02 | 17 | 3 0 1 |

---

(2)
For O, a crystal structure in the Materials Project, relaxed with PBE gives the computed powder XRD pattern in this record (CuKα).
Neutral-atom scattering factors, no anomalous dispersion.

Atomic structure:
```
data_O
_space_group_name_H-M_alt 'F m m m'
_space_group_IT_number 69
_space_group_name_Hall '-F 2 2'
_cell_length_a 3.004
_cell_length_b 3.780
_cell_length_c 7.798
_cell_angle_alpha 90.00
_cell_angle_beta 90.00
_cell_angle_gamma 90.00
loop_
_atom_site_label
_atom_site_fract_x
_atom_site_fract_y
_atom_site_fract_z
_atom_site_occupancy
O1 0.000 0.000 0.079 1
```

Most intense lines, 10 to 80 degrees two-theta, low angle first:
| 2theta | I (rel.) | h k l |
| --- | --- | --- |
| 22.81 | 55 | 0 0 2 |
| 40.05 | 100 | 1 1 1 |
| 46.59 | 3 | 0 0 4 |
| 48.15 | 16 | 0 2 0 |
| 53.91 | 6 | 0 2 2 |
| 61.77 | 6 | 2 0 0 |
| 66.75 | 3 | 2 0 2 |
| 72.76 | 11 | 0 0 6 |

---

(3)
For O, a crystal structure in the Materials Project, relaxed with PBE gives the computed powder XRD pattern in this record (CuKα).
Neutral-atom scattering factors, no anomalous dispersion.

Atomic structure:
```
data_O
_space_group_name_H-M_alt 'R 3 c'
_space_group_IT_number 161
_space_group_name_Hall 'R 3 -2"c'
_cell_length_a 4.9372
_cell_length_b 4.9372
_cell_length_c 12.9925
_cell_angle_alpha 90.00
_cell_angle_beta 90.00
_cell_angle_gamma 120.00
loop_
_atom_site_label
_atom_site_fract_x
_atom_site_fract_y
_atom_site_fract_z
_atom_site_occupancy
O1 0.1736 0.4885 0.0000 1
```

Most intense lines, 10 to 80 degrees two-theta, low angle first:
| 2theta | I (rel.) | h k l |
| --- | --- | --- |
| 24.93 | 100 | 0 1 2 |
| 34.68 | 37 | 1 0 4 |
| 41.71 | 15 | 0 0 6 |
| 42.13 | 7 | 1 1 3 |
| 57.46 | 8 | 2 1 1 |
| 58.89 | 3 | 1 2 2 |
| 61.03 | 4 | 0 1 8 |
| 68.36 | 4 | 1 2 5 |

---

(4)
For O, a crystal structure in the Materials Project, relaxed with PBE gives the computed powder XRD pattern in this record (CuKα).
Neutral-atom scattering factors, no anomalous dispersion.

Atomic structure:
```
data_O
_space_group_name_H-M_alt 'P b c a'
_space_group_IT_number 61
_space_group_name_Hall '-P 2ac 2ab'
_cell_length_a 6.860
_cell_length_b 7.128
_cell_length_c 7.984
_cell_angle_alpha 90.00
_cell_angle_beta 90.00
_cell_angle_gamma 90.00
loop_
_atom_site_label
_atom_site_fract_x
_atom_site_fract_y
_atom_site_fract_z
_atom_site_occupancy
O1 0.054 0.061 0.199 1
O2 0.156 0.187 0.124 1
O3 0.243 0.637 0.997 1
```

Most intense lines, 10 to 80 degrees two-theta, low angle first:
| 2theta | I (rel.) | h k l |
| --- | --- | --- |
| 21.14 | 20 | 1 1 1 |
| 25.82 | 36 | 1 0 2 |
| 27.40 | 40 | 0 2 1 |
| 28.75 | 29 | 1 1 2 |
| 28.89 | 28 | 2 1 0 |
| 30.40 | 100 | 1 2 1 |
| 31.03 | 27 | 2 1 1 |
| 34.48 | 40 | 2 0 2 |

---

(5)
For O, a crystal structure in the Materials Project, relaxed with PBE gives the computed powder XRD pattern in this record (CuKα).
Neutral-atom scattering factors, no anomalous dispersion.

Atomic structure:
```
data_O
_space_group_name_H-M_alt 'P 41 21 2'
_space_group_IT_number 92
_space_group_name_Hall 'P 4abw 2nw'
_cell_length_a 4.263
_cell_length_b 4.263
_cell_length_c 8.980
_cell_angle_alpha 90.00
_cell_angle_beta 90.00
_cell_angle_gamma 90.00
loop_
_atom_site_label
_atom_site_fract_x
_atom_site_fract_y
_atom_site_fract_z
_atom_site_occupancy
O1 0.047 0.137 0.220 1
```

Most intense lines, 10 to 80 degrees two-theta, low angle first:
| 2theta | I (rel.) | h k l |
| --- | --- | --- |
| 28.88 | 100 | 1 0 2 |
| 29.64 | 32 | 1 1 0 |
| 31.30 | 17 | 1 1 1 |
| 36.69 | 9 | 1 0 3 |
| 40.17 | 8 | 0 0 4 |
| 47.71 | 4 | 2 1 0 |
| 50.70 | 5 | 1 1 4 |
| 57.30 | 8 | 2 1 3 |

---

(6)
For O, a crystal structure in the Materials Project, relaxed with PBE gives the computed powder XRD pattern in this record (CuKα).
Neutral-atom scattering factors, no anomalous dispersion.

Atomic structure:
```
data_O
_space_group_name_H-M_alt 'C 1 2/c 1'
_space_group_IT_number 15
_space_group_name_Hall '-C 2yc'
_cell_length_a 7.940
_cell_length_b 9.131
_cell_length_c 4.501
_cell_angle_alpha 90.00
_cell_angle_beta 118.75
_cell_angle_gamma 90.00
loop_
_atom_site_label
_atom_site_fract_x
_atom_site_fract_y
_atom_site_fract_z
_atom_site_occupancy
O1 0.141 0.148 0.106 1
O2 0.210 0.388 0.639 1
```

Most intense lines, 10 to 80 degrees two-theta, low angle first:
| 2theta | I (rel.) | h k l |
| --- | --- | --- |
| 16.01 | 7 | 1 1 0 |
| 25.59 | 33 | 2 0 0 |
| 29.93 | 65 | 0 2 1 |
| 31.59 | 100 | 2 2 -1 |
| 35.56 | 10 | 3 1 -1 |
| 39.47 | 23 | 0 4 0 |
| 40.27 | 16 | 2 0 -2 |
| 47.64 | 7 | 2 4 0 |

---

(7)
For O, a crystal structure in the Materials Project, relaxed with PBE gives the computed powder XRD pattern in this record (CuKα).
Neutral-atom scattering factors, no anomalous dispersion.

Atomic structure:
```
data_O
_space_group_name_H-M_alt 'R 3 c'
_space_group_IT_number 161
_space_group_name_Hall 'R 3 -2"c'
_cell_length_a 6.0779
_cell_length_b 6.0779
_cell_length_c 11.8656
_cell_angle_alpha 90.00
_cell_angle_beta 90.00
_cell_angle_gamma 120.00
loop_
_atom_site_label
_atom_site_fract_x
_atom_site_fract_y
_atom_site_fract_z
_atom_site_occupancy
O1 0.1420 0.0079 0.0000 1
```

Most intense lines, 10 to 80 degrees two-theta, low angle first:
| 2theta | I (rel.) | h k l |
| --- | --- | --- |
| 22.58 | 100 | 0 1 2 |
| 29.39 | 11 | 1 1 0 |
| 34.71 | 28 | 1 0 4 |
| 37.34 | 4 | 2 0 2 |
| 45.89 | 6 | 0 0 6 |
| 46.27 | 6 | 2 1 1 |
| 64.29 | 3 | 1 3 1 |
| 65.86 | 6 | 2 2 3 |

---

(8)
For OsO2, a crystal structure in the Materials Project, relaxed with PBE gives the computed powder XRD pattern in this record (CuKα).
Neutral-atom scattering factors, no anomalous dispersion.

Atomic structure:
```
data_OsO2
_space_group_name_H-M_alt 'P a -3'
_space_group_IT_number 205
_space_group_name_Hall '-P 2ac 2ab 3'
_cell_length_a 4.927
_cell_length_b 4.927
_cell_length_c 4.927
_cell_angle_alpha 90.00
_cell_angle_beta 90.00
_cell_angle_gamma 90.00
loop_
_atom_site_label
_atom_site_fract_x
_atom_site_fract_y
_atom_site_fract_z
_atom_site_occupancy
Os1 0.000 0.000 0.000 1
O1 0.150 0.650 0.850 1
```

Most intense lines, 10 to 80 degrees two-theta, low angle first:
| 2theta | I (rel.) | h k l |
| --- | --- | --- |
| 31.45 | 100 | 1 1 1 |
| 36.47 | 49 | 2 0 0 |
| 40.96 | 1 | 2 1 0 |
| 45.07 | 1 | 2 1 1 |
| 52.53 | 40 | 2 2 0 |
| 62.52 | 51 | 3 1 1 |
| 65.64 | 13 | 2 2 2 |
| 77.49 | 5 | 4 0 0 |

---

(9)
For OsO2, a crystal structure in the Materials Project, relaxed with PBE gives the computed powder XRD pattern in this record (CuKα).
Neutral-atom scattering factors, no anomalous dispersion.

Atomic structure:
```
data_OsO2
_space_group_name_H-M_alt 'P 42/m n m'
_space_group_IT_number 136
_space_group_name_Hall '-P 4n 2n'
_cell_length_a 4.516
_cell_length_b 4.516
_cell_length_c 3.222
_cell_angle_alpha 90.00
_cell_angle_beta 90.00
_cell_angle_gamma 90.00
loop_
_atom_site_label
_atom_site_fract_x
_atom_site_fract_y
_atom_site_fract_z
_atom_site_occupancy
Os1 0.000 0.000 0.000 1
O1 0.192 0.192 0.500 1
```

Most intense lines, 10 to 80 degrees two-theta, low angle first:
| 2theta | I (rel.) | h k l |
| --- | --- | --- |
| 27.94 | 100 | 1 1 0 |
| 34.18 | 99 | 1 0 1 |
| 39.92 | 28 | 2 0 0 |
| 53.55 | 69 | 2 1 1 |
| 57.73 | 15 | 2 2 0 |
| 64.81 | 19 | 1 1 2 |
| 65.34 | 16 | 3 1 0 |
| 68.83 | 19 | 3 0 1 |

---

(10)
For PrPOsO, a crystal structure in the Materials Project, relaxed with PBE gives the computed powder XRD pattern in this record (CuKα).
Neutral-atom scattering factors, no anomalous dispersion.

Atomic structure:
```
data_PrPOsO
_space_group_name_H-M_alt 'P 4/n m m'
_space_group_IT_number 129
_cell_length_a 4.075
_cell_length_b 4.075
_cell_length_c 8.352
_cell_angle_alpha 90.00
_cell_angle_beta 90.00
_cell_angle_gamma 90.00
loop_
_space_group_symop_operation_xyz
'x,y,z'
'-x,-y,-z'
'-y+1/2,x,z'
'y+1/2,-x,-z'
'-x+1/2,-y+1/2,z'
'x+1/2,y+1/2,-z'
'y,-x+1/2,z'
'-y,x+1/2,-z'
'x+1/2,-y,-z'
'-x+1/2,y,z'
'-y,-x,-z'
'y,x,z'
'-x,y+1/2,-z'
'x,-y+1/2,z'
'y+1/2,x+1/2,-z'
'-y+1/2,-x+1/2,z'
loop_
_atom_site_label
_atom_site_fract_x
_atom_site_fract_y
_atom_site_fract_z
_atom_site_occupancy
Pr1 0.250 0.250 0.143 1
P1 0.250 0.250 0.642 1
Os1 0.250 0.750 0.500 1
O1 0.250 0.750 0.000 1
```

Most intense lines, 10 to 80 degrees two-theta, low angle first:
| 2theta | I (rel.) | h k l |
| --- | --- | --- |
| 10.59 | 61 | 0 0 1 |
| 21.28 | 36 | 0 0 2 |
| 30.65 | 61 | 1 0 2 |
| 32.15 | 34 | 0 0 3 |
| 32.88 | 100 | 1 1 1 |
| 37.94 | 70 | 1 1 2 |
| 44.46 | 54 | 2 0 0 |
| 54.25 | 54 | 1 1 4 |

---

(11)
For PaOsO3, a crystal structure in the Materials Project, relaxed with PBE gives the computed powder XRD pattern in this record (CuKα).
Neutral-atom scattering factors, no anomalous dispersion.

Atomic structure:
```
data_PaOsO3
_space_group_name_H-M_alt 'P m -3 m'
_space_group_IT_number 221
_space_group_name_Hall '-P 4 2 3'
_cell_length_a 3.961
_cell_length_b 3.961
_cell_length_c 3.961
_cell_angle_alpha 90.00
_cell_angle_beta 90.00
_cell_angle_gamma 90.00
loop_
_atom_site_label
_atom_site_fract_x
_atom_site_fract_y
_atom_site_fract_z
_atom_site_occupancy
Pa1 0.000 0.000 0.000 1
Os1 0.500 0.500 0.500 1
O1 0.000 0.500 0.500 1
```

Most intense lines, 10 to 80 degrees two-theta, low angle first:
| 2theta | I (rel.) | h k l |
| --- | --- | --- |
| 31.96 | 100 | 1 1 0 |
| 39.41 | 2 | 1 1 1 |
| 45.82 | 25 | 2 0 0 |
| 56.95 | 41 | 2 1 1 |
| 66.81 | 16 | 2 2 0 |
| 75.98 | 18 | 3 1 0 |

---

(12)
For RbOs2O9, a crystal structure in the Materials Project, relaxed with PBE gives the computed powder XRD pattern in this record (CuKα).
Neutral-atom scattering factors, no anomalous dispersion.

Atomic structure:
```
data_RbOs2O9
_space_group_name_H-M_alt 'P n a 21'
_space_group_IT_number 33
_space_group_name_Hall 'P 2c -2n'
_cell_length_a 10.679
_cell_length_b 5.895
_cell_length_c 13.534
_cell_angle_alpha 90.00
_cell_angle_beta 90.00
_cell_angle_gamma 90.00
loop_
_atom_site_label
_atom_site_fract_x
_atom_site_fract_y
_atom_site_fract_z
_atom_site_occupancy
Rb1 0.117 0.247 0.000 1
Os1 0.101 0.310 0.335 1
Os2 0.186 0.210 0.650 1
O1 0.023 0.757 0.913 1
O2 0.029 0.273 0.220 1
O3 0.118 0.007 0.574 1
O4 0.118 0.242 0.766 1
O5 0.134 0.585 0.374 1
O6 0.140 0.458 0.590 1
O7 0.151 0.735 0.140 1
O8 0.211 0.108 0.368 1
O9 0.243 0.386 0.220 1
```

Most intense lines, 10 to 80 degrees two-theta, low angle first:
| 2theta | I (rel.) | h k l |
| --- | --- | --- |
| 21.20 | 25 | 2 0 2 |
| 22.47 | 100 | 2 1 0 |
| 23.42 | 33 | 2 1 1 |
| 24.85 | 99 | 0 1 3 |
| 25.85 | 72 | 2 0 3 |
| 30.33 | 26 | 0 2 0 |
| 40.27 | 29 | 2 2 3 |
| 46.34 | 35 | 2 1 6 |